Starting from a crystal structure in Alexandria, relaxed with GGA+U, the X-ray diffraction stick pattern of MoClO2 was calculated for CuKα.
Lines closer than 0.1° are merged.

Cell and atoms:
a b c (Å): 5.327 5.944 9.884
angles (deg): 90.00 90.00 90.00
Fractional coordinates of all 16 atoms:
Mo (0.250, 0.000, 0.070)
Mo (0.250, 0.500, 0.430)
Mo (0.750, 0.000, 0.930)
Mo (0.750, 0.500, 0.570)
Cl (0.064, 0.250, 0.250)
Cl (0.436, 0.750, 0.250)
Cl (0.564, 0.250, 0.750)
Cl (0.936, 0.750, 0.750)
O (0.052, 0.172, 0.932)
O (0.052, 0.328, 0.568)
O (0.448, 0.672, 0.568)
O (0.448, 0.828, 0.932)
O (0.552, 0.172, 0.068)
O (0.552, 0.328, 0.432)
O (0.948, 0.672, 0.432)
O (0.948, 0.828, 0.068)

Most intense lines, 10° ≤ 2θ ≤ 90°, in order of falling intensity:
| 2theta | I/Imax | hkl |
| --- | --- | --- |
| 17.41 | 100 | 0 1 1 |
| 28.86 | 27 | 1 1 2 |
| 18.92 | 20 | 1 0 1 |
| 44.44 | 20 | 1 2 3 |
| 38.13 | 15 | 2 1 1 |
| 43.13 | 14 | 1 1 4 |
| 45.74 | 13 | 2 2 0 |
| 35.24 | 11 | 0 2 2 |